Entry 1:
For Li2Cu2C2O7, a crystal structure in the Materials Project, relaxed with PBE gives the simulated powder X-ray diffraction pattern in this record (Cu Kα X-rays).
No peak broadening, texture or thermal motion is included.

Most intense lines, 2θ from 10° to 90°, low angle first:
2theta  I_rel  h k l
18.9  33  2 0 0
28.9  100  1 1 2
32.7  41  0 1 3
33.3  52  1 2 -1
35.4  45  2 1 2
35.9  46  4 0 -2
36.3  34  2 2 -1
41.6  24  3 2 -1
43.0  32  0 2 3
44.8  18  5 0 -2

Cell and atoms:
Lattice parameters (Å, degrees): 10.1102 5.6875 10.1075 90.00 111.80 90.00
Element x y z (fractional)
Li: 0.0190 0.0639 0.2515
Li: 0.0190 0.4361 0.7515
Li: 0.1228 0.2161 0.0263
Li: 0.1228 0.2839 0.5263
Li: 0.8772 0.7161 0.4737
Li: 0.8772 0.7839 0.9737
Li: 0.9810 0.5639 0.2485
Li: 0.9810 0.9361 0.7485
Cu: 0.3853 0.6659 0.9726
Cu: 0.3853 0.8341 0.4726
Cu: 0.4749 0.1350 0.2184
Cu: 0.4749 0.3650 0.7184
Cu: 0.5251 0.6350 0.2816
Cu: 0.5251 0.8650 0.7816
Cu: 0.6147 0.1659 0.5274
Cu: 0.6147 0.3341 0.0274
C: 0.1355 0.7489 0.0388
C: 0.1355 0.7511 0.5387
C: 0.2783 0.1300 0.8131
C: 0.2783 0.3700 0.3131
C: 0.7217 0.6300 0.6869
C: 0.7217 0.8700 0.1869
C: 0.8645 0.2489 0.4612
C: 0.8645 0.2511 0.9612
O: 0.0548 0.6693 0.9148
O: 0.0548 0.8307 0.4148
O: 0.0784 0.6737 0.6251
O: 0.0784 0.8263 0.1251
O: 0.1774 0.1503 0.8581
O: 0.1774 0.3497 0.3581
O: 0.2740 0.7424 0.5787
O: 0.2740 0.7576 0.0787
O: 0.2868 0.2268 0.2161
O: 0.2868 0.2732 0.7161
O: 0.3770 0.5336 0.3615
O: 0.3770 0.9664 0.8615
O: 0.4826 0.0787 0.6144
O: 0.4826 0.4213 0.1144
O: 0.5174 0.5787 0.8856
O: 0.5174 0.9213 0.3856
O: 0.6230 0.0336 0.1385
O: 0.6230 0.4664 0.6385
O: 0.7132 0.7268 0.2839
O: 0.7132 0.7732 0.7839
O: 0.7260 0.2424 0.9213
O: 0.7260 0.2576 0.4213
O: 0.8226 0.6503 0.6419
O: 0.8226 0.8497 0.1419
O: 0.9216 0.1737 0.8749
O: 0.9216 0.3263 0.3749
O: 0.9452 0.1693 0.5852
O: 0.9452 0.3307 0.0852



Entry 2:
For Li2Cu3C3O9, a crystal structure in the Materials Project, relaxed with PBE gives the simulated powder X-ray diffraction pattern in this record (Cu Kα X-rays).
No peak broadening, texture or thermal motion is included.

Most intense lines, 2θ from 10° to 90°, low angle first:
2theta  I_rel  h k l
21.8  100  1 0 -2
21.9  53  2 0 -1
28.9  16  0 2 0
31.6  20  1 2 0
36.4  79  1 2 -2
36.5  41  2 2 -1
38.3  15  3 0 0
38.4  16  3 0 -3
48.8  15  3 2 -3
59.8  17  0 4 0

Cell and atoms:
Lattice parameters (Å, degrees): 8.1059 6.1875 8.1495 90.00 119.62 90.00
Element x y z (fractional)
Li: 0.0000 0.0000 0.0000
Li: 0.0009 0.5000 0.0000
Li: 0.2772 0.5000 0.6892
Li: 0.5862 0.0000 0.2787
Cu: 0.3006 0.2493 0.3631
Cu: 0.3006 0.7507 0.3631
Cu: 0.6413 0.2487 0.9809
Cu: 0.6413 0.7513 0.9809
Cu: 0.9202 0.2525 0.6219
Cu: 0.9202 0.7475 0.6219
C: 0.2849 0.2501 0.9876
C: 0.2849 0.7499 0.9876
C: 0.6196 0.5000 0.6576
C: 0.6256 0.0000 0.6599
C: 0.9558 0.0000 0.3197
C: 0.9555 0.5000 0.3245
O: 0.1383 0.0000 0.4015
O: 0.1417 0.5000 0.4084
O: 0.1723 0.2473 0.0624
O: 0.1723 0.7527 0.0624
O: 0.2114 0.2694 0.8079
O: 0.2114 0.7306 0.8079
O: 0.4658 0.2340 0.0973
O: 0.4658 0.7660 0.0973
O: 0.5096 0.5000 0.4767
O: 0.5154 0.0000 0.4758
O: 0.5476 0.5000 0.7713
O: 0.5540 0.0000 0.7697
O: 0.8039 0.5000 0.7315
O: 0.8110 0.0000 0.7289
O: 0.8544 0.0000 0.1347
O: 0.8584 0.5000 0.1407
O: 0.8673 0.0000 0.4172
O: 0.8727 0.5000 0.4251